Diffraction record for Er2MgOs. The powder diffractogram is calculated, not measured: it uses the GGA-PBE geometry in the Materials Project and Cu Kα (λ = 1.5418 Å).
Kinematic intensities with the Lorentz-polarization factor, no thermal factor.

Largest 10 diffraction maxima, in order of rising 2θ, 2θ = 10–80°:
| 2θ/deg | I (rel.) | hkl |
| --- | --- | --- |
| 22.0 | 20.4 | 1 1 1 |
| 25.4 | 6.0 | 2 0 0 |
| 36.2 | 100.0 | 2 2 0 |
| 42.8 | 11.1 | 3 1 1 |
| 52.2 | 17.8 | 4 0 0 |
| 57.3 | 4.8 | 3 3 1 |
| 58.9 | 2.4 | 4 2 0 |
| 65.2 | 36.4 | 4 2 2 |
| 69.7 | 3.6 | 5 1 1 |
| 76.9 | 11.4 | 4 4 0 |

Structure:
a = 7.010 Å, b = 7.010 Å, c = 7.010 Å
α = 90.00°, β = 90.00°, γ = 90.00°
Space group Fm-3m (No. 225)
Symmetry-distinct sites (fractional):
Er 0.250 0.250 0.250 x8
Mg 0.000 0.000 0.000 x4
Os 0.000 0.000 0.500 x4